1.
Th3Tl5: simulated X-ray diffraction stick pattern (Cu Kα (weighted mean of Kα1 and Kα2)), based on a GGA-PBE-relaxed structure.
Intensities are scaled so that the largest is 100.

Most intense lines, 10° ≤ 2θ ≤ 90°, by intensity:
d 2.814, 31.80 deg, rel. 100, (2 2 1); d 2.445, 36.75 deg, rel. 17, (0 0 2); d 2.498, 35.95 deg, rel. 17, (0 4 0); d 2.373, 37.91 deg, rel. 16, (4 0 0); d 1.473, 63.10 deg, rel. 15, (2 2 3); d 1.496, 62.03 deg, rel. 14, (2 6 1); d 1.441, 64.67 deg, rel. 13, (6 2 1); d 1.748, 52.35 deg, rel. 12, (0 4 2); d 1.407, 66.44 deg, rel. 12, (4 4 2); d 1.703, 53.83 deg, rel. 12, (4 0 2)

Atomic structure:
Cell: 9.492 9.993 4.891 Å, 90.00 90.00 90.00°
Fractional positions:
Th1 0.000 0.000 0.000
Th2 0.000 0.269 0.500
Th3 0.000 0.731 0.500
Th4 0.500 0.231 0.500
Th5 0.500 0.500 0.000
Th6 0.500 0.769 0.500
Tl1 0.000 0.500 0.000
Tl2 0.236 0.000 0.500
Tl3 0.250 0.250 0.000
Tl4 0.250 0.750 0.000
Tl5 0.264 0.500 0.500
Tl6 0.500 0.000 0.000
Tl7 0.736 0.500 0.500
Tl8 0.750 0.250 0.000
Tl9 0.750 0.750 0.000
Tl10 0.764 0.000 0.500


2.
Th5Tl3: simulated X-ray diffraction stick pattern (Cu Kα (weighted mean of Kα1 and Kα2)), based on a GGA-PBE-relaxed structure.
Intensities are scaled so that the largest is 100.

Most intense lines, 10° ≤ 2θ ≤ 90°, by intensity:
d 2.804, 31.92 deg, rel. 100, (2 1 1); d 2.652, 33.80 deg, rel. 69, (1 1 2); d 2.752, 32.53 deg, rel. 43, (3 0 0); d 3.121, 28.60 deg, rel. 31, (2 1 0); d 1.758, 52.02 deg, rel. 26, (2 1 3); d 1.910, 47.62 deg, rel. 19, (2 2 2); d 1.467, 63.42 deg, rel. 19, (5 0 2); d 3.192, 27.96 deg, rel. 15, (0 0 2); d 2.977, 30.02 deg, rel. 15, (1 0 2); d 1.733, 52.82 deg, rel. 13, (4 0 2)

Atomic structure:
Cell: 9.534 9.534 6.383 Å, 90.00 90.00 120.00°
Fractional positions:
Th1 0.000 0.240 0.250
Th2 0.000 0.760 0.750
Th3 0.240 0.000 0.250
Th4 0.240 0.240 0.750
Th5 0.333 0.667 0.000
Th6 0.333 0.667 0.500
Th7 0.667 0.333 0.000
Th8 0.667 0.333 0.500
Th9 0.760 0.000 0.750
Th10 0.760 0.760 0.250
Tl1 0.000 0.392 0.750
Tl2 0.000 0.608 0.250
Tl3 0.392 0.000 0.750
Tl4 0.392 0.392 0.250
Tl5 0.608 0.000 0.250
Tl6 0.608 0.608 0.750


3.
Th2Tl3: simulated X-ray diffraction stick pattern (Cu Kα (weighted mean of Kα1 and Kα2)), based on a GGA-PBE-relaxed structure.
Intensities are scaled so that the largest is 100.

Most intense lines, 10° ≤ 2θ ≤ 90°, by intensity:
d 2.821, 31.72 deg, rel. 100, (1 2 1); d 2.469, 36.39 deg, rel. 34, (3 1 0); d 1.484, 62.57 deg, rel. 27, (5 0 1); d 1.718, 53.31 deg, rel. 24, (3 1 2); d 2.393, 37.58 deg, rel. 17, (0 0 2); d 1.451, 64.18 deg, rel. 14, (1 2 3); d 1.746, 52.41 deg, rel. 11, (2 4 0); d 1.410, 66.27 deg, rel. 11, (2 4 2); d 1.116, 87.39 deg, rel. 11, (5 0 3); d 1.097, 89.29 deg, rel. 5, (6 2 2)

Atomic structure:
Cell: 7.807 7.807 4.786 Å, 90.00 90.00 90.00°
Fractional positions:
Th1 0.123 0.695 0.000
Th2 0.305 0.123 0.000
Th3 0.695 0.877 0.000
Th4 0.877 0.305 0.000
Tl1 0.000 0.000 0.500
Tl2 0.189 0.397 0.500
Tl3 0.397 0.811 0.500
Tl4 0.500 0.500 0.000
Tl5 0.603 0.189 0.500
Tl6 0.811 0.603 0.500


4.
Th3Tl2: simulated X-ray diffraction stick pattern (Cu Kα (weighted mean of Kα1 and Kα2)), based on a GGA-PBE-relaxed structure.
Intensities are scaled so that the largest is 100.

Most intense lines, 10° ≤ 2θ ≤ 90°, by intensity:
d 2.895, 30.88 deg, rel. 100, (1 1 -2); d 2.801, 31.96 deg, rel. 90, (3 1 -1); d 2.664, 33.65 deg, rel. 40, (2 0 1); d 2.419, 37.17 deg, rel. 29, (4 0 -3); d 2.346, 38.37 deg, rel. 29, (0 2 0); d 1.761, 51.94 deg, rel. 24, (2 2 1); d 1.447, 64.37 deg, rel. 23, (2 2 -4); d 1.684, 54.49 deg, rel. 20, (4 2 -3); d 1.595, 57.80 deg, rel. 17, (1 1 3); d 1.548, 59.76 deg, rel. 15, (5 1 0)

Atomic structure:
Cell: 10.810 4.692 7.872 Å, 90.00 130.69 90.00°
Fractional positions:
Th1 0.000 0.000 0.000
Th2 0.193 0.000 0.612
Th3 0.307 0.500 0.388
Th4 0.500 0.500 0.000
Th5 0.693 0.500 0.612
Th6 0.807 0.000 0.388
Tl1 0.086 0.500 0.792
Tl2 0.414 0.000 0.208
Tl3 0.586 0.000 0.792
Tl4 0.914 0.500 0.208